Computed PXRD pattern of Ba2CoMo for Cu Kα, 1.54184 Å, from the GGA-PBE geometry in Alexandria.
Lines closer than 0.1° are merged.

Most intense lines, 10 to 80 degrees two-theta, in order of rising 2θ:
2θ/deg	I_rel	(hkl)
13.96	14	0 0 2
24.64	20	1 0 1
27.12	68	0 1 3
32.51	100	1 1 2
34.31	31	0 2 0
42.97	30	1 0 5
56.10	27	1 2 5
56.27	20	2 1 3
60.31	16	1 3 2
60.57	12	2 2 0

Cell and atoms:
a = 3.769 Å, b = 5.228 Å, c = 12.686 Å
α = 90.00°, β = 90.00°, γ = 90.00°
Space group Imm2 (No. 44)
Symmetry-distinct sites (fractional):
Ba: 0.000 0.000 0.000 x2
Ba: 0.000 0.500 0.224 x2
Co: 0.000 0.000 0.408 x2
Mo: 0.000 0.500 0.811 x2